No. 1
Diffraction record for BaLu2Te4. The powder X-ray diffraction pattern is computed, not measured: it uses a cell relaxed with GGA-PBE and Cu Ka.

Structure:
```
BaLu2Te4
1.0
13.732 0.000 0.000
0.000 4.430 0.000
0.000 0.000 16.082
Ba Lu Te
4 8 16
direct
0.239 0.250 0.170 Ba
0.261 0.750 0.670 Ba
0.739 0.250 0.330 Ba
0.761 0.750 0.830 Ba
0.058 0.250 0.390 Lu
0.081 0.250 0.904 Lu
0.419 0.750 0.404 Lu
0.442 0.750 0.890 Lu
0.558 0.250 0.110 Lu
0.581 0.250 0.596 Lu
0.919 0.750 0.096 Lu
0.942 0.750 0.610 Lu
0.028 0.750 0.784 Te
0.090 0.250 0.575 Te
0.125 0.750 0.028 Te
0.204 0.750 0.343 Te
0.296 0.250 0.843 Te
0.375 0.250 0.528 Te
0.410 0.750 0.075 Te
0.472 0.250 0.284 Te
0.528 0.750 0.716 Te
0.590 0.250 0.925 Te
0.625 0.750 0.472 Te
0.704 0.750 0.157 Te
0.796 0.250 0.657 Te
0.875 0.250 0.972 Te
0.910 0.750 0.425 Te
0.972 0.250 0.216 Te
```

Main lines, low angle first (2θ from 15° to 90°):
- 23.86°, I = 49
- 26.09°, I = 60
- 26.90°, I = 100
- 28.27°, I = 58
- 28.56°, I = 100
- 30.72°, I = 49
- 32.77°, I = 89
- 33.01°, I = 55
- 35.97°, I = 50
- 40.09°, I = 62
- 40.73°, I = 79
- 41.51°, I = 57



No. 2
Diffraction record for BaMg6Mn. The powder X-ray diffraction pattern is computed, not measured: it uses a cell relaxed with GGA-PBE and Cu Ka.

Structure:
```
BaMg6Mn
1.0
5.170 0.000 0.000
0.000 6.871 0.000
0.000 0.000 11.842
Ba Mg Mn
2 12 2
direct
0.000 0.000 0.000 Ba
0.000 0.500 0.500 Ba
0.000 0.000 0.491 Mg
0.000 0.233 0.248 Mg
0.000 0.267 0.748 Mg
0.000 0.500 0.991 Mg
0.000 0.733 0.748 Mg
0.000 0.767 0.248 Mg
0.500 0.000 0.664 Mg
0.500 0.223 0.401 Mg
0.500 0.277 0.901 Mg
0.500 0.500 0.164 Mg
0.500 0.723 0.901 Mg
0.500 0.777 0.401 Mg
0.500 0.000 0.185 Mn
0.500 0.500 0.685 Mn
```

Main lines, low angle first (2θ from 15° to 90°):
- 22.82°, I = 72
- 25.97°, I = 20
- 30.07°, I = 26
- 31.33°, I = 30
- 34.70°, I = 34
- 34.82°, I = 100
- 34.92°, I = 46
- 40.25°, I = 16
- 46.60°, I = 24
- 53.55°, I = 16
- 62.30°, I = 26
- 65.38°, I = 29



No. 3
Diffraction record for BaMg6Mn. The powder X-ray diffraction pattern is computed, not measured: it uses a cell relaxed with GGA-PBE and Cu Ka.

Structure:
```
BaMg6Mn
1.0
5.257 0.000 0.000
0.000 6.790 0.000
0.000 0.000 11.798
Ba Mg Mn
2 12 2
direct
0.000 0.000 0.000 Ba
0.000 0.500 0.500 Ba
0.000 0.242 0.254 Mg
0.000 0.258 0.754 Mg
0.000 0.742 0.754 Mg
0.000 0.758 0.254 Mg
0.500 0.000 0.182 Mg
0.500 0.000 0.661 Mg
0.500 0.221 0.416 Mg
0.500 0.279 0.916 Mg
0.500 0.500 0.161 Mg
0.500 0.500 0.682 Mg
0.500 0.721 0.916 Mg
0.500 0.779 0.416 Mg
0.000 0.000 0.491 Mn
0.000 0.500 0.991 Mn
```

Main lines, low angle first (2θ from 15° to 90°):
- 15.03°, I = 37
- 16.87°, I = 21
- 22.67°, I = 38
- 26.22°, I = 12
- 30.35°, I = 35
- 31.34°, I = 14
- 34.11°, I = 23
- 34.92°, I = 100
- 46.30°, I = 22
- 53.91°, I = 18
- 61.59°, I = 18
- 65.33°, I = 12



No. 4
Diffraction record for Ba2MgN2. The powder X-ray diffraction pattern is computed, not measured: it uses a cell relaxed with GGA-PBE and Cu Ka.

Structure:
```
Ba2MgN2
1.0
4.180 0.000 0.000
0.000 4.180 0.000
0.000 0.000 13.970
Ba Mg N
4 2 4
direct
0.000 0.000 0.162 Ba
0.000 0.000 0.838 Ba
0.500 0.500 0.338 Ba
0.500 0.500 0.662 Ba
0.000 0.000 0.500 Mg
0.500 0.500 0.000 Mg
0.000 0.000 0.358 N
0.000 0.000 0.642 N
0.500 0.500 0.142 N
0.500 0.500 0.858 N
```

Main lines, low angle first (2θ from 15° to 90°):
- 22.20°, I = 23
- 25.50°, I = 12
- 28.70°, I = 100
- 30.23°, I = 64
- 38.69°, I = 19
- 39.96°, I = 14
- 43.29°, I = 23
- 49.86°, I = 28
- 52.76°, I = 37
- 59.43°, I = 18
- 80.41°, I = 12
- 84.23°, I = 12



No. 5
Diffraction record for Ba2MgNb6N2O14. The powder X-ray diffraction pattern is computed, not measured: it uses a cell relaxed with GGA-PBE and Cu Ka.

Structure:
```
Ba2MgNb6N2O14
1.0
4.008 0.000 0.000
0.000 9.203 0.000
1.979 0.035 10.545
Ba Mg Nb N O
2 1 6 2 14
direct
0.000 0.000 0.000 Ba
0.144 0.484 0.717 Ba
0.943 0.477 0.111 Mg
0.254 0.971 0.495 Nb
0.374 0.283 0.253 Nb
0.385 0.685 0.229 Nb
0.653 0.802 0.699 Nb
0.662 0.173 0.681 Nb
0.785 0.485 0.433 Nb
0.313 0.483 0.375 N
0.724 0.332 0.555 N
0.170 0.815 0.664 O
0.172 0.130 0.660 O
0.311 0.132 0.379 O
0.313 0.820 0.375 O
0.443 0.487 0.112 O
0.447 0.169 0.106 O
0.449 0.821 0.101 O
0.595 0.295 0.818 O
0.595 0.656 0.817 O
0.600 0.974 0.805 O
0.724 0.640 0.555 O
0.732 0.977 0.538 O
0.873 0.328 0.255 O
0.881 0.643 0.238 O
```

Main lines, low angle first (2θ from 15° to 90°):
- 16.82°, I = 31
- 19.36°, I = 39
- 19.43°, I = 25
- 25.62°, I = 60
- 25.74°, I = 40
- 27.39°, I = 100
- 29.87°, I = 87
- 30.34°, I = 32
- 32.28°, I = 56
- 34.01°, I = 22
- 39.05°, I = 33
- 45.26°, I = 56



No. 6
Diffraction record for Ba2MgNb6N2O14. The powder X-ray diffraction pattern is computed, not measured: it uses a cell relaxed with GGA-PBE and Cu Ka.

Structure:
```
Ba2MgNb6N2O14
1.0
3.995 0.000 0.000
0.007 9.780 0.000
0.032 0.928 9.777
Ba Mg Nb N O
2 1 6 2 14
direct
0.000 0.000 0.000 Ba
0.013 0.395 0.898 Ba
0.508 0.703 0.831 Mg
0.008 0.424 0.359 Nb
0.012 0.729 0.587 Nb
0.014 0.074 0.627 Nb
0.500 0.649 0.142 Nb
0.510 0.252 0.193 Nb
0.515 0.918 0.411 Nb
0.014 0.919 0.464 N
0.516 0.070 0.266 N
0.008 0.607 0.178 O
0.009 0.573 0.485 O
0.009 0.644 0.779 O
0.009 0.909 0.744 O
0.010 0.273 0.483 O
0.010 0.306 0.180 O
0.014 0.179 0.772 O
0.500 0.805 0.006 O
0.508 0.448 0.302 O
0.511 0.214 0.006 O
0.511 0.536 0.987 O
0.511 0.750 0.606 O
0.513 0.067 0.577 O
0.513 0.772 0.291 O
```

Main lines, low angle first (2θ from 15° to 90°):
- 19.54°, I = 41
- 24.07°, I = 90
- 24.56°, I = 49
- 27.04°, I = 100
- 28.14°, I = 39
- 28.88°, I = 36
- 29.75°, I = 66
- 29.83°, I = 58
- 30.87°, I = 83
- 35.64°, I = 59
- 45.41°, I = 63
- 53.65°, I = 28



No. 7
Diffraction record for Ba2MgNb6N2O14. The powder X-ray diffraction pattern is computed, not measured: it uses a cell relaxed with GGA-PBE and Cu Ka.

Structure:
```
Ba2MgNb6N2O14
1.0
10.401 -2.009 0.000
10.401 2.009 0.000
-0.198 0.000 9.078
Ba Mg Nb N O
2 1 6 2 14
direct
0.000 0.000 0.000 Ba
0.034 0.034 0.517 Ba
0.795 0.795 0.189 Mg
0.241 0.241 0.975 Nb
0.379 0.379 0.690 Nb
0.388 0.388 0.323 Nb
0.645 0.645 0.207 Nb
0.648 0.648 0.815 Nb
0.778 0.778 0.528 Nb
0.309 0.309 0.505 N
0.718 0.718 0.674 N
0.150 0.150 0.852 O
0.163 0.163 0.170 O
0.306 0.306 0.843 O
0.309 0.309 0.158 O
0.441 0.441 0.505 O
0.446 0.446 0.831 O
0.453 0.453 0.187 O
0.577 0.577 0.688 O
0.583 0.583 0.342 O
0.595 0.595 0.021 O
0.726 0.726 0.338 O
0.730 0.730 0.016 O
0.869 0.869 0.662 O
0.872 0.872 0.325 O
```

Main lines, low angle first (2θ from 15° to 90°):
- 25.63°, I = 74
- 25.77°, I = 100
- 26.34°, I = 60
- 27.37°, I = 33
- 27.58°, I = 38
- 29.95°, I = 35
- 30.08°, I = 64
- 30.95°, I = 62
- 34.50°, I = 24
- 45.14°, I = 45
- 46.57°, I = 24
- 52.71°, I = 27